No. 1
Calculated X-ray powder pattern of Mn5Cr2O12 for Cu Kα (weighted mean of Kα1 and Kα2), from a cell relaxed with GGA+U.
Peak positions follow from Bragg's law for the DFT cell and can differ from measured ones.

Most intense lines, 2θ = 10–90°, low angle first:
two_theta, Rel. int.
18.36, 70
19.62, 28
20.59, 23
24.72, 43
37.60, 18
41.75, 100
46.25, 41
55.23, 19
63.66, 25
64.44, 21

Atomic structure:
```
19
Lattice="2.5215 -4.5255 0.0000 2.5215 4.5255 0.0000 -2.2911 0.0000 9.6664" Properties=species:S:1:pos:R:3 pbc="T T T"
Mn 0.0000 0.0000 0.0000
Mn 2.5215 -1.4330 0.0000
Mn 0.8193 -2.6495 7.0371
Mn 1.9327 -2.6495 2.6292
Mn 1.3760 -4.4766 4.8332
Cr 1.3760 1.7135 4.8332
Cr 2.5215 1.5342 0.0000
O 0.7542 1.6650 1.0677
O -0.2085 1.3887 5.9327
O 0.3195 0.4792 3.6374
O -0.6488 0.0279 8.7139
O -0.3903 -1.4248 5.8430
O 0.9464 -1.5790 1.0979
O 2.9605 1.3887 3.7337
O 1.9979 1.6650 8.5986
O 2.4325 0.4792 6.0289
O 3.4008 0.0279 0.9525
O 1.8056 -1.5790 8.5684
O 3.1424 -1.4248 3.8234
```

No. 2
Calculated X-ray powder pattern of Mn3Cr4O12 for Cu Kα (weighted mean of Kα1 and Kα2), from a cell relaxed with GGA+U.
Peak positions follow from Bragg's law for the DFT cell and can differ from measured ones.

Most intense lines, 2θ = 10–90°, low angle first:
two_theta, Rel. int.
16.99, 27
24.11, 7
29.64, 13
34.36, 100
38.57, 12
46.00, 7
49.38, 30
61.54, 52
72.42, 13
82.68, 15

Atomic structure:
```
19
Lattice="-3.6909 3.6909 3.6909 3.6909 -3.6909 3.6909 3.6909 3.6909 -3.6909" Properties=species:S:1:pos:R:3 pbc="T T T"
Mn 3.6909 0.0000 0.0000
Mn 0.0000 3.6909 0.0000
Mn 0.0000 0.0000 3.6909
Cr 1.8454 1.8454 -1.8454
Cr 1.8454 -1.8454 1.8454
Cr -1.8454 1.8454 1.8454
Cr 1.8454 1.8454 1.8454
O 3.6909 -1.3684 2.3197
O 2.3225 1.3712 0.0000
O 5.0592 1.3712 0.0000
O 2.3197 3.6909 -1.3684
O 1.3712 0.0000 2.3225
O 0.0000 2.3225 1.3712
O 3.6909 1.3684 2.3197
O 2.3197 3.6909 1.3684
O 1.3712 0.0000 5.0592
O -1.3684 2.3197 3.6909
O 1.3684 2.3197 3.6909
O 0.0000 5.0592 1.3712
```

No. 3
Calculated X-ray powder pattern of Mn13Cr3O32 for Cu Kα (weighted mean of Kα1 and Kα2), from a cell relaxed with GGA+U.
Peak positions follow from Bragg's law for the DFT cell and can differ from measured ones.

Most intense lines, 2θ = 10–90°, low angle first:
two_theta, Rel. int.
18.60, 100
36.05, 33
37.71, 9
43.82, 49
47.99, 9
57.99, 16
63.71, 25
66.99, 12
76.45, 5
80.51, 5

Atomic structure:
```
48
Lattice="5.8451 -5.8443 0.0000 5.8451 5.8443 0.0000 -5.8332 0.0000 8.2593" Properties=species:S:1:pos:R:3 pbc="T T T"
Mn 0.0000 0.0000 0.0000
Mn 0.0060 2.9221 4.1296
Mn 4.3893 4.3865 2.0606
Mn 1.4677 4.3865 6.1987
Mn -2.9123 0.0000 8.2579
Mn 4.3883 1.4616 2.0564
Mn 1.4688 1.4616 6.2028
Mn 0.0060 -2.9221 4.1296
Mn 4.3883 -1.4616 2.0564
Mn 1.4688 -1.4616 6.2028
Mn 8.7693 0.0000 0.0014
Mn 4.3893 -4.3865 2.0606
Mn 1.4677 -4.3865 6.1987
Cr 2.9285 2.9186 4.1296
Cr 5.8451 0.0000 0.0000
Cr 2.9285 -2.9186 4.1296
O -4.3757 1.2831 8.1370
O 1.4643 4.2003 4.2635
O -0.1708 0.0000 1.9383
O -3.0969 0.0000 6.3195
O 0.1858 2.9220 6.0693
O 3.1170 2.9203 2.1819
O -4.3757 -1.2831 8.1370
O 1.4617 1.6398 4.2676
O 4.3928 4.2003 3.9957
O 4.3762 1.2852 0.1153
O 2.7401 2.9203 6.0773
O 5.6713 2.9220 2.1900
O 3.1122 0.0000 1.9370
O 0.1659 0.0000 6.3353
O 4.3953 1.6398 3.9917
O 4.3762 -1.2852 0.1153
O 1.4809 1.2852 8.1439
O 1.4617 -1.6398 4.2676
O 5.6911 0.0000 1.9239
O 2.7448 0.0000 6.3222
O 0.1858 -2.9220 6.0693
O 3.1170 -2.9203 2.1819
O 1.4809 -1.2852 8.1439
O 1.4643 -4.2003 4.2635
O 4.3953 -1.6398 3.9917
O 10.2327 1.2831 0.1223
O 2.7401 -2.9203 6.0773
O 5.6713 -2.9220 2.1900
O 8.9539 0.0000 1.9398
O 6.0279 0.0000 6.3209
O 4.3928 -4.2003 3.9957
O 10.2327 -1.2831 0.1223
```

No. 4
Calculated X-ray powder pattern of Mn5CrO12 for Cu Kα (weighted mean of Kα1 and Kα2), from a cell relaxed with GGA+U.
Peak positions follow from Bragg's law for the DFT cell and can differ from measured ones.

Most intense lines, 2θ = 10–90°, low angle first:
two_theta, Rel. int.
17.53, 100
35.38, 5
36.48, 24
39.73, 18
44.66, 26
50.97, 11
58.29, 14
64.23, 13
75.70, 5
85.60, 5

Atomic structure:
```
18
Lattice="2.5371 -4.4007 0.0000 2.5371 4.4007 0.0000 -0.0004 0.0000 10.1193" Properties=species:S:1:pos:R:3 pbc="T T T"
Mn 0.0000 0.0000 0.0000
Mn 2.5369 2.9325 5.0597
Mn 2.5371 1.4671 0.0000
Mn 2.5371 -1.4671 0.0000
Mn 2.5369 -2.9325 5.0597
Cr 2.5369 0.0000 5.0597
O 3.3823 -2.9339 0.9577
O 1.6915 2.9339 9.1617
O 0.8426 0.0000 4.1049
O 1.6894 1.4724 6.0173
O 3.3823 2.9339 0.9577
O 1.6916 0.0000 9.1615
O 1.6894 -1.4724 6.0173
O 3.3844 1.4724 4.1020
O 1.6915 -2.9339 9.1617
O 3.3822 0.0000 0.9578
O 3.3844 -1.4724 4.1020
O 4.2312 0.0000 6.0144
```

No. 5
Calculated X-ray powder pattern of MnCrO3 for Cu Kα (weighted mean of Kα1 and Kα2), from a cell relaxed with GGA+U.
Peak positions follow from Bragg's law for the DFT cell and can differ from measured ones.

Most intense lines, 2θ = 10–90°, low angle first:
two_theta, Rel. int.
33.21, 100
34.15, 56
34.37, 34
34.70, 90
46.98, 34
51.37, 21
59.54, 20
59.86, 28
62.39, 20
62.71, 22

Atomic structure:
```
20
Lattice="5.2376 -3.7632 0.0000 5.2376 3.7632 0.0000 -0.4416 0.0000 5.2555" Properties=species:S:1:pos:R:3 pbc="T T T"
Mn 4.9064 2.8549 3.9416
Mn 5.1272 1.1235 1.3139
Mn 4.9064 -1.1235 3.9416
Mn 5.1272 -2.8549 1.3139
Cr 2.3171 0.7149 4.1271
Cr 2.5379 -0.7149 1.4994
Cr 7.4956 0.7149 3.7561
Cr 7.7164 -0.7149 1.1284
O 1.7795 1.1917 0.7278
O 4.1873 2.6384 2.1301
O 6.0671 2.6384 0.4976
O 1.5586 -1.1917 3.3555
O 3.7049 0.1618 2.7859
O 3.9257 -0.1618 0.1582
O 6.1079 0.1618 5.0973
O 6.3287 -0.1618 2.4696
O 8.4749 1.1917 1.9000
O 3.9665 -2.6384 4.7579
O 5.8463 -2.6384 3.1254
O 8.2541 -1.1917 4.5277
```

No. 6
Calculated X-ray powder pattern of MnCrP2O8 for Cu Kα (weighted mean of Kα1 and Kα2), from a cell relaxed with GGA+U.
Peak positions follow from Bragg's law for the DFT cell and can differ from measured ones.

Most intense lines, 2θ = 10–90°, low angle first:
two_theta, Rel. int.
18.03, 65
20.24, 54
20.72, 36
25.33, 39
25.72, 45
30.42, 100
36.04, 46
36.86, 70
58.39, 31
63.30, 27

Atomic structure:
```
24
Lattice="4.8334 0.0000 0.0000 0.0000 5.8763 0.0000 -0.2891 0.0000 9.8422" Properties=species:S:1:pos:R:3 pbc="T T T"
Mn 0.2951 1.4691 2.1819
Mn 4.2492 4.4072 7.6603
Cr 1.9500 1.4691 7.1303
Cr 2.5943 4.4072 2.7119
P 0.4652 4.4072 0.9173
P 1.6980 4.4072 5.8373
P 2.8463 1.4691 4.0049
P 4.0791 1.4691 8.9249
O 0.4913 4.4072 9.2573
O 0.7433 1.4691 8.6960
O 1.0015 3.1879 6.5466
O 1.0015 5.6265 6.5466
O 1.2227 3.2195 1.6427
O 1.2227 5.5950 1.6427
O 1.3135 1.4691 3.7653
O 1.4696 4.4072 4.3303
O 3.0747 1.4691 5.5119
O 3.2308 4.4072 6.0770
O 3.3216 0.2813 8.1995
O 3.3216 2.6568 8.1995
O 3.5428 0.2498 3.2956
O 3.5428 2.6884 3.2956
O 3.8010 4.4072 1.1463
O 4.0530 1.4691 0.5850
```

No. 7
Calculated X-ray powder pattern of MnCrP2O8 for Cu Kα (weighted mean of Kα1 and Kα2), from a cell relaxed with GGA+U.
Peak positions follow from Bragg's law for the DFT cell and can differ from measured ones.

Most intense lines, 2θ = 10–90°, low angle first:
two_theta, Rel. int.
20.57, 73
24.41, 100
25.37, 14
31.96, 15
33.52, 61
36.03, 39
48.02, 27
50.03, 25
56.38, 21
63.19, 21

Atomic structure:
```
36
Lattice="4.3176 2.4928 6.8076 -4.3176 2.4928 6.8076 0.0000 -4.9856 6.8076" Properties=species:S:1:pos:R:3 pbc="T T T"
Mn 0.0000 0.0000 0.0000
Mn 0.0000 0.0000 4.2770
Mn 0.0000 0.0000 10.2104
Cr 0.0000 0.0000 7.2456
Cr 0.0000 0.0000 14.5530
Cr 0.0000 0.0000 17.4689
P -3.0229 0.2555 8.9465
P -1.2838 -2.2162 12.3615
P 1.2902 -2.7457 8.9465
P -1.2774 2.2199 12.3616
P 1.7327 2.4902 8.9465
P 2.5612 -0.0037 12.3616
O -3.4910 0.9498 7.6787
O -2.8382 -2.4387 12.1358
O -0.8324 -1.2443 5.8001
O -3.3497 0.9982 10.2230
O 0.9230 -3.4982 7.6787
O -1.4792 0.0343 8.7055
O -0.6614 1.3430 5.8001
O -0.8553 -1.5470 11.0633
O 0.8103 -3.4000 10.2230
O 0.7099 -1.2982 8.7055
O 1.4938 -0.0987 5.8001
O -0.9404 -1.4164 13.5993
O -0.9121 1.5142 11.0633
O 0.7693 1.2638 8.7055
O -1.4656 -0.0661 15.9687
O -0.7564 1.5226 13.5993
O 1.7674 0.0328 11.0633
O -0.6929 3.6773 12.1358
O 0.7900 -1.2362 15.9686
O 2.5680 2.5484 7.6787
O 1.6968 -0.1062 13.5993
O 3.5311 -1.2386 12.1358
O 0.6756 1.3023 15.9686
O 2.5393 2.4018 10.2231
```

Copy entry 7 word for word.
Calculated X-ray powder pattern of MnCrP2O8 for Cu Kα (weighted mean of Kα1 and Kα2), from a cell relaxed with GGA+U.
Peak positions follow from Bragg's law for the DFT cell and can differ from measured ones.

Most intense lines, 2θ = 10–90°, low angle first:
two_theta, Rel. int.
20.57, 73
24.41, 100
25.37, 14
31.96, 15
33.52, 61
36.03, 39
48.02, 27
50.03, 25
56.38, 21
63.19, 21

Atomic structure:
```
36
Lattice="4.3176 2.4928 6.8076 -4.3176 2.4928 6.8076 0.0000 -4.9856 6.8076" Properties=species:S:1:pos:R:3 pbc="T T T"
Mn 0.0000 0.0000 0.0000
Mn 0.0000 0.0000 4.2770
Mn 0.0000 0.0000 10.2104
Cr 0.0000 0.0000 7.2456
Cr 0.0000 0.0000 14.5530
Cr 0.0000 0.0000 17.4689
P -3.0229 0.2555 8.9465
P -1.2838 -2.2162 12.3615
P 1.2902 -2.7457 8.9465
P -1.2774 2.2199 12.3616
P 1.7327 2.4902 8.9465
P 2.5612 -0.0037 12.3616
O -3.4910 0.9498 7.6787
O -2.8382 -2.4387 12.1358
O -0.8324 -1.2443 5.8001
O -3.3497 0.9982 10.2230
O 0.9230 -3.4982 7.6787
O -1.4792 0.0343 8.7055
O -0.6614 1.3430 5.8001
O -0.8553 -1.5470 11.0633
O 0.8103 -3.4000 10.2230
O 0.7099 -1.2982 8.7055
O 1.4938 -0.0987 5.8001
O -0.9404 -1.4164 13.5993
O -0.9121 1.5142 11.0633
O 0.7693 1.2638 8.7055
O -1.4656 -0.0661 15.9687
O -0.7564 1.5226 13.5993
O 1.7674 0.0328 11.0633
O -0.6929 3.6773 12.1358
O 0.7900 -1.2362 15.9686
O 2.5680 2.5484 7.6787
O 1.6968 -0.1062 13.5993
O 3.5311 -1.2386 12.1358
O 0.6756 1.3023 15.9686
O 2.5393 2.4018 10.2231
```